# 1
Diffraction record for PmNdCl4. The X-ray powder pattern is computed, not measured: it uses the PBE geometry in Alexandria and copper Kα.

Cell and atoms:
Cell: 5.5634 5.5634 11.0370 Å, 90.00 90.00 90.00°
Element x y z (fractional)
Pm 0.0000 0.0000 0.0000
Pm 0.5000 0.5000 0.5000
Nd 0.0000 0.5000 0.2500
Nd 0.5000 0.0000 0.7500
Cl 0.0000 0.0000 0.2585
Cl 0.0000 0.0000 0.7415
Cl 0.0000 0.5000 0.5105
Cl 0.0000 0.5000 0.9895
Cl 0.5000 0.0000 0.0105
Cl 0.5000 0.0000 0.4895
Cl 0.5000 0.5000 0.2415
Cl 0.5000 0.5000 0.7585

The 10 most intense peaks (2θ from 15° to 90°), by intensity:
- 2θ 17.85, rel. 100
- 2θ 32.18, rel. 56
- 2θ 29.10, rel. 39
- 2θ 46.35, rel. 38
- 2θ 37.04, rel. 32
- 2θ 32.45, rel. 27
- 2θ 43.93, rel. 25
- 2θ 46.15, rel. 20
- 2θ 57.54, rel. 19
- 2θ 27.85, rel. 18

---

# 2
Diffraction record for Ac2Nd2Te2Se3. The X-ray powder pattern is computed, not measured: it uses the PBE geometry in Alexandria and copper Kα.

Cell and atoms:
Cell: 9.4114 9.4114 9.4114 Å, 143.88 143.88 52.01°
Element x y z (fractional)
Ac 0.1920 0.1920 0.0000
Ac 0.8080 0.8080 0.0000
Nd 0.0000 0.5000 0.5000
Nd 0.5000 0.0000 0.5000
Te 0.3960 0.3960 0.0000
Te 0.6040 0.6040 0.0000
Se 0.0000 0.0000 0.0000
Se 0.2500 0.7500 0.5000
Se 0.7500 0.2500 0.5000

The 10 most intense peaks (2θ from 15° to 90°), by intensity:
- 2θ 30.60, rel. 100
- 2θ 43.84, rel. 54
- 2θ 30.26, rel. 22
- 2θ 63.76, rel. 18
- 2θ 72.40, rel. 17
- 2θ 23.99, rel. 13
- 2θ 54.23, rel. 11
- 2θ 48.37, rel. 10
- 2θ 21.53, rel. 9
- 2θ 54.40, rel. 9

---

# 3
Diffraction record for Si2As3. The X-ray powder pattern is computed, not measured: it uses the PBE geometry in Alexandria and copper Kα.

Cell and atoms:
Cell: 6.4742 6.4742 6.3151 Å, 99.06 99.06 117.77°
Element x y z (fractional)
Si 0.0905 0.9095 0.5000
Si 0.2795 0.7707 0.0054
Si 0.7707 0.2795 0.5054
Si 0.9095 0.0905 0.0000
As 0.0974 0.2511 0.3912
As 0.2511 0.0974 0.8912
As 0.4257 0.8695 0.4160
As 0.5485 0.7146 0.8156
As 0.7146 0.5485 0.3156
As 0.8695 0.4257 0.9160

The 10 most intense peaks (2θ from 15° to 90°), by intensity:
- 2θ 29.57, rel. 100
- 2θ 27.99, rel. 60
- 2θ 29.71, rel. 40
- 2θ 47.67, rel. 37
- 2θ 33.70, rel. 30
- 2θ 49.86, rel. 21
- 2θ 55.95, rel. 20
- 2θ 34.19, rel. 15
- 2θ 47.46, rel. 15
- 2θ 49.32, rel. 13

---

Repeat the third record exactly.
Diffraction record for Si2As3. The X-ray powder pattern is computed, not measured: it uses the PBE geometry in Alexandria and copper Kα.

Cell and atoms:
Cell: 6.4742 6.4742 6.3151 Å, 99.06 99.06 117.77°
Element x y z (fractional)
Si 0.0905 0.9095 0.5000
Si 0.2795 0.7707 0.0054
Si 0.7707 0.2795 0.5054
Si 0.9095 0.0905 0.0000
As 0.0974 0.2511 0.3912
As 0.2511 0.0974 0.8912
As 0.4257 0.8695 0.4160
As 0.5485 0.7146 0.8156
As 0.7146 0.5485 0.3156
As 0.8695 0.4257 0.9160

The 10 most intense peaks (2θ from 15° to 90°), by intensity:
- 2θ 29.57, rel. 100
- 2θ 27.99, rel. 60
- 2θ 29.71, rel. 40
- 2θ 47.67, rel. 37
- 2θ 33.70, rel. 30
- 2θ 49.86, rel. 21
- 2θ 55.95, rel. 20
- 2θ 34.19, rel. 15
- 2θ 47.46, rel. 15
- 2θ 49.32, rel. 13